For Na2Nb3Se6, DFT lattice parameters and positions (PBE) gives the calculated XRD peak list in this record (a wavelength of 1.5418 Å).
Intensities are scaled so that the largest is 1000.

The 10 most intense peaks (10° ≤ 2θ ≤ 90°), low angle first:
2θ (°)  I (rel.)
11.81  825
29.00  276
29.62  332
34.21  225
37.82  1000
46.84  189
51.40  365
65.56  195
73.44  154
87.85  178

Structural model:
Cell: 3.5553 3.5553 44.9517 Å, 90.00 90.00 120.00°
Space group P3m1 (No. 156)
Symmetry-distinct sites (fractional):
Na 0.0000 0.0000 0.0000 x1
Na 0.0000 0.0000 0.1695 x1
Na 0.0000 0.0000 0.3390 x1
Na 0.0000 0.0000 0.6676 x1
Nb 0.0000 0.0000 0.0850 x1
Nb 0.0000 0.0000 0.4233 x1
Nb 0.0000 0.0000 0.7526 x1
Nb 0.3333 0.6667 0.2540 x1
Nb 0.3333 0.6667 0.5826 x1
Nb 0.3333 0.6667 0.9156 x1
Se 0.6667 0.3333 0.0481 x1
Se 0.6667 0.3333 0.1219 x1
Se 0.6667 0.3333 0.2171 x1
Se 0.6667 0.3333 0.2909 x1
Se 0.6667 0.3333 0.3861 x1
Se 0.6667 0.3333 0.4595 x1
Se 0.6667 0.3333 0.5464 x1
Se 0.6667 0.3333 0.6198 x1
Se 0.6667 0.3333 0.7153 x1
Se 0.6667 0.3333 0.7888 x1
Se 0.6667 0.3333 0.8794 x1
Se 0.6667 0.3333 0.9529 x1